Starting from a PBE-relaxed structure, the X-ray diffraction stick pattern of Cs2InPI6 was computed for λ = 1.5418 Å (Cu Kα).
Intensities are scaled so that the largest is 100.

Structure:
Lattice parameters (Å, degrees): 8.526 8.526 8.526 119.93 119.93 90.12
Fractional positions:
Cs 0.250 0.750 0.500
Cs 0.750 0.250 0.500
In 0.000 0.000 0.000
P 0.500 0.500 0.000
I 0.265 0.265 0.000
I 0.266 0.266 0.531
I 0.266 0.734 0.000
I 0.734 0.266 0.000
I 0.734 0.734 0.469
I 0.735 0.735 0.000

Main lines, by angle (2θ from 10° to 80°):
2θ 25.58, rel. 100; 2θ 29.62, rel. 93; 2θ 42.39, rel. 67; 2θ 50.17, rel. 43; 2θ 52.56, rel. 23; 2θ 77.54, rel. 20